This entry pairs a crystal structure of Li3BiN2 with its theoretical PXRD pattern. Radiation: Cu Kα, 1.54184 Å. Structure: a DFT-relaxed cell (GGA-PBE, the Materials Project).
Peak positions follow from Bragg's law for the DFT cell and can differ from measured ones.

Peak list (10 most intense, 2θ from 10° to 90°, by angle)
two_theta  I/Imax
20.2  100.0
31.1  83.4
33.3  28.7
39.2  21.4
46.1  24.8
47.7  32.6
52.3  28.6
58.1  13.2
63.4  21.5
68.6  16.1

Atomic structure:
```
Li3BiN2
1.0
-5.3877 5.3877 5.3877
5.3877 -5.3877 5.3877
5.3877 5.3877 -5.3877
Li Bi N
24 8 16
Cartesian
4.3634 3.8723 -3.7614
3.7614 -1.0243 1.5154
3.8723 -3.7614 4.3634
4.3634 -1.5154 3.7614
9.1491 1.0243 1.5154
6.9031 1.6263 1.0243
1.5154 3.7614 -1.0243
3.7614 4.3634 -1.5154
4.3634 1.5154 1.6263
3.8723 3.7614 1.0243
3.7614 1.0243 3.8723
-1.0243 1.5154 3.7614
6.4121 3.8723 1.6263
1.6263 4.3634 1.5154
1.5154 1.6263 4.3634
1.0243 3.8723 3.7614
1.6263 1.0243 6.9031
3.8723 1.6263 6.4121
-1.5154 3.7614 4.3634
-3.7614 4.3634 3.8723
1.0243 6.9031 1.6263
1.5154 9.1491 1.0243
1.6263 6.4121 3.8723
1.0243 1.5154 9.1491
4.1034 1.2843 -1.2843
6.6720 -1.2843 1.2843
1.2843 1.2843 1.2843
1.2843 -1.2843 4.1034
-1.2843 4.1034 1.2843
1.2843 6.6720 -1.2843
-1.2843 1.2843 6.6720
4.1034 4.1034 4.1034
2.6939 2.6939 -2.6939
2.6939 -2.6939 2.6939
8.0816 0.2027 0.0000
5.3877 -2.6939 5.1850
5.1850 5.3877 -2.6939
5.1850 0.0000 2.6939
5.3877 2.6939 0.2027
2.6939 5.1850 0.0000
-2.6939 2.6939 2.6939
2.6939 2.6939 2.6939
2.6939 0.2027 5.3877
0.0000 2.6939 5.1850
0.2027 5.3877 2.6939
0.2027 0.0000 8.0816
0.0000 8.0816 0.2027
-2.6939 5.1850 5.3877
```